DyTlCoO3: calculated powder X-ray diffraction pattern (Cu Kα (λ = 1.5418 Å)), based on a structure optimized by DFT (GGA+U).

Most intense lines, 5° ≤ 2θ ≤ 70°, by angle:
(hkl)  2θ (°)  I_rel
0 2 0  10.9  25
0 2 1  16.1  46
0 2 2  26.2  60
0 4 2  32.5  76
1 3 0  32.9  78
0 6 0  33.1  28
1 1 2  37.7  100
1 7 2  55.0  50
1 3 4  60.0  34
2 4 2  68.7  19

Atomic structure:
Cell lengths 3.147, 16.224, 7.491 Å; angles 90.00, 90.00, 90.00 degrees
Space group Cmcm (No. 63)
Symmetry-distinct sites (fractional):
1 Dy 0.000 0.000 0.000
2 Tl 0.000 0.359 0.250
3 Co 0.000 0.346 0.750
4 O 0.000 0.124 0.084
5 O 0.000 0.234 0.750